Record 1
This entry pairs a crystal structure of PrHf3F15 with its theoretical powder XRD pattern. Radiation: CuKα. Structure: a crystal structure in OQMD, relaxed with PBE.
No peak broadening, texture or thermal motion is included.

Top 6 peaks for 2θ = 10–90°, in order of rising 2θ:
2theta, I/Imax
22.71, 100.0
27.15, 28.6
29.60, 36.3
46.05, 15.8
48.60, 21.2
48.91, 20.5

Structure:
Cell: 7.2434 7.2434 7.2434 Å, 112.90 112.90 112.90°
Sites, in units of the cell vectors:
Pr (0.0000, 0.0000, 0.0000)
Hf (0.1935, 0.6337, 0.6337)
Hf (0.6337, 0.1935, 0.6337)
Hf (0.6337, 0.6337, 0.1935)
F (0.1596, 0.3714, 0.3714)
F (0.2632, 0.9190, 0.9190)
F (0.3286, 0.5384, 0.8714)
F (0.3286, 0.8714, 0.5384)
F (0.3714, 0.1596, 0.3714)
F (0.3714, 0.3714, 0.1596)
F (0.5384, 0.3286, 0.8714)
F (0.5384, 0.8714, 0.3286)
F (0.5821, 0.8420, 0.8420)
F (0.8420, 0.5821, 0.8420)
F (0.8420, 0.8420, 0.5821)
F (0.8714, 0.3286, 0.5384)
F (0.8714, 0.5384, 0.3286)
F (0.9190, 0.2632, 0.9190)
F (0.9190, 0.9190, 0.2632)

---

Record 2
This entry pairs a crystal structure of Rb4HfF with its theoretical powder XRD pattern. Radiation: CuKα. Structure: a crystal structure in OQMD, relaxed with PBE.
No peak broadening, texture or thermal motion is included.

Top 6 peaks for 2θ = 10–90°, in order of rising 2θ:
2theta, I/Imax
25.25, 100.0
29.02, 85.3
38.84, 32.0
41.98, 26.8
49.20, 32.3
60.50, 17.9

Structure:
Cell: 8.6098 8.6098 8.6098 Å, 41.88 41.88 41.88°
Sites, in units of the cell vectors:
Rb (0.1102, 0.1102, 0.1102)
Rb (0.2977, 0.2977, 0.2977)
Rb (0.7023, 0.7023, 0.7023)
Rb (0.8898, 0.8898, 0.8898)
Hf (0.5000, 0.5000, 0.5000)
F (0.0000, 0.0000, 0.0000)

---

Record 3
This entry pairs a crystal structure of HgF3 with its theoretical powder XRD pattern. Radiation: CuKα. Structure: a crystal structure in OQMD, relaxed with PBE.
No peak broadening, texture or thermal motion is included.

Top 6 peaks for 2θ = 10–90°, in order of rising 2θ:
2theta, I/Imax
24.38, 100.0
26.41, 52.1
29.02, 70.6
36.09, 46.3
42.39, 34.3
42.97, 38.1

Structure:
Cell: 4.4287 4.4287 5.6612 Å, 102.88 102.88 74.88°
Sites, in units of the cell vectors:
Hg (0.2453, 0.2453, 0.1775)
Hg (0.7547, 0.7547, 0.8225)
F (0.1669, 0.8331, 0.5000)
F (0.3147, 0.6853, 0.0000)
F (0.4059, 0.1062, 0.5865)
F (0.7536, 0.1026, 0.1892)
F (0.8938, 0.5941, 0.4135)
F (0.8974, 0.2464, 0.8108)